Diffraction record for Hf4ZnGa. The powder XRD pattern is theoretical, not measured: it uses a GGA-PBE-relaxed structure and a wavelength of 1.5418 Å.
Kinematic intensities with the Lorentz-polarization factor, no thermal factor.

Principal peaks in the range 2θ = 10–90°, low angle first:
2θ = 34.24°, I 100, (2 1 1)
2θ = 35.69°, I 12, (0 0 2)
2θ = 40.39°, I 16, (1 1 2)
2θ = 41.65°, I 29, (3 1 0)
2θ = 63.19°, I 17, (2 1 3)
2θ = 65.94°, I 13, (4 0 2)
2θ = 69.08°, I 14, (3 3 2)
2θ = 77.30°, I 15, (5 2 1)

Structural model:
```
Hf4ZnGa
1.0
6.857 0.000 0.000
0.000 6.857 0.000
0.000 0.000 5.031
Hf Zn Ga
8 2 2
Direct
0.150 0.348 0.000
0.150 0.652 0.500
0.348 0.150 0.500
0.348 0.850 0.000
0.652 0.150 0.000
0.652 0.850 0.500
0.850 0.348 0.500
0.850 0.652 0.000
0.500 0.500 0.250
0.500 0.500 0.750
0.000 0.000 0.250
0.000 0.000 0.750
```